# 1
# NdErO4
Theoretical powder diffractogram, Cu Kα, 1.54184 Å. Input: a crystal structure in OQMD, relaxed with GGA-PBE.
No peak broadening, texture or thermal motion is included.

Most intense lines, 5° ≤ 2θ ≤ 70°, sorted by position:
26.5 deg, I 32
27.0 deg, I 17
28.8 deg, I 46
29.9 deg, I 100
31.5 deg, I 37
31.7 deg, I 28
41.1 deg, I 17
47.1 deg, I 29
48.1 deg, I 19
50.8 deg, I 27

Cell and atoms:
```
NdErO4
1.0
3.390 -1.893 0.000
3.390 1.893 0.000
-0.745 0.000 6.194
Nd Er O
1 1 4
Direct
0.000 0.000 0.000
0.375 0.375 0.460
0.042 0.042 0.388
0.337 0.337 0.099
0.605 0.605 0.779
0.779 0.779 0.656
```

***

# 2
# PrCdInSe3
Theoretical powder diffractogram, Cu Kα, 1.54184 Å. Input: a crystal structure in OQMD, relaxed with GGA-PBE.
No peak broadening, texture or thermal motion is included.

Most intense lines, 5° ≤ 2θ ≤ 70°, sorted by position:
12.3 deg, I 43
28.7 deg, I 100
31.7 deg, I 50
33.1 deg, I 44
33.3 deg, I 21
40.6 deg, I 42
41.5 deg, I 34
44.3 deg, I 28
45.9 deg, I 20
68.0 deg, I 18

Cell and atoms:
```
PrCdInSe3
1.0
14.443 0.000 0.000
0.000 4.350 0.000
0.000 0.000 11.664
Pr Cd In Se
4 4 4 12
Direct
0.030 0.250 0.156
0.470 0.750 0.656
0.530 0.250 0.344
0.970 0.750 0.844
0.024 0.750 0.399
0.476 0.250 0.899
0.524 0.750 0.101
0.976 0.250 0.601
0.248 0.250 0.462
0.252 0.750 0.962
0.748 0.250 0.038
0.752 0.750 0.538
0.088 0.750 0.620
0.102 0.250 0.921
0.155 0.750 0.237
0.345 0.250 0.737
0.398 0.750 0.421
0.412 0.250 0.120
0.588 0.750 0.880
0.602 0.250 0.579
0.655 0.750 0.263
0.845 0.250 0.763
0.898 0.750 0.079
0.912 0.250 0.380
```

***

# 3
# Ni14W
Theoretical powder diffractogram, Cu Kα, 1.54184 Å. Input: a crystal structure in OQMD, relaxed with GGA-PBE.
No peak broadening, texture or thermal motion is included.

Most intense lines, 5° ≤ 2θ ≤ 70°, sorted by position:
14.5 deg, I 20
22.1 deg, I 26
39.6 deg, I 23
43.1 deg, I 59
44.4 deg, I 38
45.0 deg, I 41
46.3 deg, I 43
47.7 deg, I 100
48.9 deg, I 31
52.3 deg, I 25

Cell and atoms:
```
Ni14W
1.0
8.660 0.000 0.000
0.000 8.660 0.000
0.000 0.000 4.550
Ni W
28 2
Direct
0.039 0.368 0.000
0.066 0.268 0.500
0.101 0.101 0.000
0.132 0.539 0.500
0.184 0.816 0.249
0.184 0.816 0.751
0.232 0.566 0.000
0.268 0.066 0.500
0.316 0.316 0.251
0.316 0.316 0.749
0.368 0.039 0.000
0.399 0.601 0.500
0.434 0.768 0.000
0.461 0.868 0.500
0.539 0.132 0.500
0.566 0.232 0.000
0.601 0.399 0.500
0.632 0.961 0.000
0.684 0.684 0.251
0.684 0.684 0.749
0.732 0.934 0.500
0.768 0.434 0.000
0.816 0.184 0.249
0.816 0.184 0.751
0.868 0.461 0.500
0.899 0.899 0.000
0.934 0.732 0.500
0.961 0.632 0.000
0.000 0.000 0.500
0.500 0.500 0.000
```

***

# 4
# Dy4YTm2Ni2Te2
Theoretical powder diffractogram, Cu Kα, 1.54184 Å. Input: a crystal structure in OQMD, relaxed with GGA-PBE.
No peak broadening, texture or thermal motion is included.

Most intense lines, 5° ≤ 2θ ≤ 70°, sorted by position:
25.0 deg, I 25
30.4 deg, I 43
33.1 deg, I 81
34.1 deg, I 100
34.5 deg, I 21
34.6 deg, I 61
38.6 deg, I 19
47.3 deg, I 29
51.1 deg, I 22
58.9 deg, I 31

Cell and atoms:
```
Dy4YTm2Ni2Te2
1.0
-1.923 7.799 4.753
1.923 -7.799 4.753
1.923 7.799 -4.753
Dy Y Tm Ni Te
4 1 2 2 2
Direct
0.147 0.000 0.147
0.167 0.352 0.815
0.537 0.352 0.185
0.853 0.000 0.853
0.232 0.732 0.500
0.515 0.148 0.367
0.782 0.148 0.633
0.399 0.659 0.740
0.920 0.659 0.260
0.499 0.499 0.000
0.892 0.392 0.500
```

***

# 5
# Li2UN2
Theoretical powder diffractogram, Cu Kα, 1.54184 Å. Input: a crystal structure in OQMD, relaxed with GGA-PBE.
No peak broadening, texture or thermal motion is included.

Most intense lines, 5° ≤ 2θ ≤ 70°, sorted by position:
16.1 deg, I 92
29.7 deg, I 57
32.6 deg, I 14
34.0 deg, I 100
44.7 deg, I 51
52.7 deg, I 19
55.5 deg, I 24
59.1 deg, I 21
63.4 deg, I 15
64.2 deg, I 17

Cell and atoms:
```
Li2UN2
1.0
6.013 0.000 0.000
-3.006 5.207 0.000
0.000 0.000 5.495
Li U N
6 3 6
Direct
0.009 0.671 0.395
0.329 0.338 0.395
0.338 0.009 0.605
0.662 0.991 0.395
0.671 0.662 0.605
0.991 0.329 0.605
0.000 0.000 0.000
0.333 0.667 0.996
0.667 0.333 0.004
0.000 0.334 0.228
0.000 0.666 0.772
0.333 0.000 0.228
0.334 0.333 0.772
0.666 0.667 0.228
0.667 0.000 0.772
```

***

# 6
# Li2Sc2GaSiPd2
Theoretical powder diffractogram, Cu Kα, 1.54184 Å. Input: a crystal structure in OQMD, relaxed with GGA-PBE.
No peak broadening, texture or thermal motion is included.

Most intense lines, 5° ≤ 2θ ≤ 70°, sorted by position:
24.6 deg, I 95
31.9 deg, I 4
40.6 deg, I 100
40.8 deg, I 50
47.9 deg, I 15
48.2 deg, I 30
58.5 deg, I 8
59.1 deg, I 16
64.7 deg, I 12
65.0 deg, I 6

Cell and atoms:
```
Li2Sc2GaSiPd2
1.0
4.422 0.000 0.000
0.000 4.422 0.000
0.000 0.000 6.307
Li Sc Ga Si Pd
2 2 1 1 2
Direct
0.000 0.500 0.247
0.500 0.000 0.753
0.000 0.000 0.000
0.500 0.500 0.500
0.000 0.000 0.500
0.500 0.500 0.000
0.000 0.500 0.759
0.500 0.000 0.241
```

***

# 7
# Ac5U2Se12
Theoretical powder diffractogram, Cu Kα, 1.54184 Å. Input: a crystal structure in OQMD, relaxed with GGA-PBE.
No peak broadening, texture or thermal motion is included.

Most intense lines, 5° ≤ 2θ ≤ 70°, sorted by position:
19.8 deg, I 96
21.1 deg, I 100
29.2 deg, I 95
33.2 deg, I 73
36.4 deg, I 52
40.0 deg, I 39
40.3 deg, I 34
40.6 deg, I 30
45.1 deg, I 36
57.1 deg, I 28

Cell and atoms:
```
Ac5U2Se12
1.0
8.490 -4.023 0.000
8.490 4.023 0.000
-2.961 0.000 9.409
Ac U Se
5 2 12
Direct
0.000 0.000 0.000
0.298 0.298 0.139
0.312 0.312 0.672
0.688 0.688 0.328
0.702 0.702 0.861
0.251 0.749 0.500
0.749 0.251 0.500
0.000 0.000 0.310
0.000 0.000 0.690
0.095 0.566 0.415
0.102 0.599 0.931
0.401 0.898 0.069
0.434 0.905 0.585
0.497 0.497 0.296
0.503 0.503 0.704
0.566 0.095 0.415
0.599 0.102 0.931
0.898 0.401 0.069
0.905 0.434 0.585
```

***

# 8
# NdGeB4
Theoretical powder diffractogram, Cu Kα, 1.54184 Å. Input: a crystal structure in OQMD, relaxed with GGA-PBE.
No peak broadening, texture or thermal motion is included.

Most intense lines, 5° ≤ 2θ ≤ 70°, sorted by position:
11.1 deg, I 25
22.4 deg, I 46
32.6 deg, I 65
34.5 deg, I 14
39.9 deg, I 100
45.7 deg, I 12
57.2 deg, I 27
58.1 deg, I 18
63.1 deg, I 18
68.2 deg, I 10

Cell and atoms:
```
NdGeB4
1.0
3.174 0.000 0.000
-1.587 2.749 0.000
0.000 0.000 7.942
Nd Ge B
1 1 4
Direct
0.000 0.000 0.000
0.000 0.000 0.500
0.333 0.667 0.272
0.333 0.667 0.728
0.667 0.333 0.272
0.667 0.333 0.728
```

***

# 9
# Sr11Cd6Sb12
Theoretical powder diffractogram, Cu Kα, 1.54184 Å. Input: a crystal structure in OQMD, relaxed with GGA-PBE.
No peak broadening, texture or thermal motion is included.

Most intense lines, 5° ≤ 2θ ≤ 70°, sorted by position:
27.3 deg, I 38
28.2 deg, I 39
28.5 deg, I 56
28.9 deg, I 78
30.1 deg, I 39
30.4 deg, I 51
30.6 deg, I 40
31.2 deg, I 32
37.4 deg, I 100
39.9 deg, I 39

Cell and atoms:
```
Sr11Cd6Sb12
1.0
16.587 -2.404 0.000
16.587 2.404 0.000
-4.321 0.000 11.917
Sr Cd Sb
11 6 12
Direct
0.000 0.000 0.000
0.019 0.019 0.681
0.114 0.114 0.506
0.126 0.126 0.015
0.201 0.201 0.343
0.278 0.278 0.132
0.722 0.722 0.868
0.799 0.799 0.657
0.874 0.874 0.985
0.886 0.886 0.494
0.981 0.981 0.319
0.219 0.219 0.667
0.400 0.400 0.255
0.452 0.452 0.755
0.548 0.548 0.245
0.600 0.600 0.745
0.781 0.781 0.333
0.090 0.090 0.233
0.150 0.150 0.784
0.296 0.296 0.866
0.309 0.309 0.471
0.453 0.453 0.115
0.457 0.457 0.500
0.543 0.543 0.500
0.547 0.547 0.885
0.691 0.691 0.529
0.704 0.704 0.134
0.850 0.850 0.216
0.910 0.910 0.767
```

***

# 10
# Co2Re3
Theoretical powder diffractogram, Cu Kα, 1.54184 Å. Input: a crystal structure in OQMD, relaxed with GGA-PBE.
No peak broadening, texture or thermal motion is included.

Most intense lines, 5° ≤ 2θ ≤ 70°, sorted by position:
13.5 deg, I 15
21.1 deg, I 22
38.1 deg, I 40
40.0 deg, I 51
41.2 deg, I 24
42.9 deg, I 14
44.1 deg, I 25
44.6 deg, I 100
45.7 deg, I 46
49.5 deg, I 13

Cell and atoms:
```
Co2Re3
1.0
9.286 0.000 0.000
0.000 9.286 0.000
0.000 0.000 4.727
Co Re
12 18
Direct
0.093 0.093 0.000
0.181 0.819 0.248
0.181 0.819 0.752
0.319 0.319 0.252
0.319 0.319 0.748
0.407 0.593 0.500
0.593 0.407 0.500
0.681 0.681 0.252
0.681 0.681 0.748
0.819 0.181 0.248
0.819 0.181 0.752
0.907 0.907 0.000
0.000 0.000 0.500
0.037 0.363 0.000
0.068 0.261 0.500
0.137 0.537 0.500
0.239 0.568 0.000
0.261 0.068 0.500
0.363 0.037 0.000
0.432 0.761 0.000
0.463 0.863 0.500
0.500 0.500 0.000
0.537 0.137 0.500
0.568 0.239 0.000
0.637 0.963 0.000
0.739 0.932 0.500
0.761 0.432 0.000
0.863 0.463 0.500
0.932 0.739 0.500
0.963 0.637 0.000
```

***

# 11
# Tb2GdIn3Ir2Pd
Theoretical powder diffractogram, Cu Kα, 1.54184 Å. Input: a crystal structure in OQMD, relaxed with GGA-PBE.
No peak broadening, texture or thermal motion is included.

Most intense lines, 5° ≤ 2θ ≤ 70°, sorted by position:
32.8 deg, I 100
35.6 deg, I 97
36.0 deg, I 45
41.0 deg, I 45
43.0 deg, I 28
46.5 deg, I 26
60.2 deg, I 20
63.7 deg, I 24
66.2 deg, I 21
66.3 deg, I 11

Cell and atoms:
```
Tb2GdIn3Ir2Pd
1.0
3.905 0.000 0.000
0.000 6.609 3.805
0.000 -6.609 3.805
Tb Gd In Ir Pd
2 1 3 2 1
Direct
0.000 0.206 0.794
0.000 0.794 0.206
0.000 0.382 0.382
0.500 0.053 0.053
0.500 0.535 0.794
0.500 0.794 0.535
0.500 0.126 0.461
0.500 0.461 0.126
0.000 0.794 0.794
```